No. 1
Starting from a DFT-relaxed cell (GGA-PBE, Alexandria), the XRD peak list of Ti5B2Te was simulated for Cu Ka.

Top 10 peaks for 2θ = 5–70°, sorted by position:
h k l  2θ/deg  Rel. int.
1 1 0  20.22  60
1 1 2  25.09  39
2 1 1  33.10  40
1 1 4  36.16  82
2 1 3  39.44  35
2 2 0  41.11  36
2 0 4  41.77  100
3 1 0  46.22  67
2 1 5  50.11  17
4 0 4  67.91  15

```
data_Ti5B2Te
_cell_length_a 6.211
_cell_length_b 6.211
_cell_length_c 12.050
_cell_angle_alpha 90.00
_cell_angle_beta 90.00
_cell_angle_gamma 90.00
_symmetry_space_group_name_H-M 'I 4/m c m'
_symmetry_Int_Tables_number 140
_symmetry_space_group_name_Hall '-I 4 2c'
loop_
_atom_site_label
_atom_site_fract_x
_atom_site_fract_y
_atom_site_fract_z
_atom_site_occupancy
Ti1 0.000 0.000 0.000 1
Ti2 0.172 0.328 0.124 1
B1 0.111 0.389 0.500 1
Te1 0.000 0.000 0.250 1
```


No. 2
Starting from a DFT-relaxed cell (GGA-PBE, Alexandria), the XRD peak list of ThUB8 was simulated for Cu Ka.

Top 10 peaks for 2θ = 5–70°, sorted by position:
h k l  2θ/deg  Rel. int.
0 0 1  21.99  100
2 2 0  24.88  79
1 3 0  27.64  58
3 1 0  28.11  57
2 2 1  33.45  97
1 3 1  35.59  71
3 1 1  35.98  68
0 6 0  53.77  28
3 5 1  57.55  32
5 3 1  58.07  31

```
data_ThUB8
_cell_length_a 10.017
_cell_length_b 10.229
_cell_length_c 4.042
_cell_angle_alpha 90.00
_cell_angle_beta 90.00
_cell_angle_gamma 90.00
_symmetry_space_group_name_H-M 'C m m m'
_symmetry_Int_Tables_number 65
_symmetry_space_group_name_Hall '-C 2 2'
loop_
_atom_site_label
_atom_site_fract_x
_atom_site_fract_y
_atom_site_fract_z
_atom_site_occupancy
Th1 0.188 0.000 0.000 1
U1 0.000 0.312 0.000 1
B1 0.000 0.088 0.500 1
B2 0.088 0.500 0.500 1
B3 0.140 0.184 0.500 1
B4 0.178 0.356 0.500 1
B5 0.250 0.250 0.201 1
```


No. 3
Starting from a DFT-relaxed cell (GGA-PBE, Alexandria), the XRD peak list of Th2B10W was simulated for Cu Ka.

Top 10 peaks for 2θ = 5–70°, sorted by position:
h k l  2θ/deg  Rel. int.
1 1 0  17.02  17
1 2 0  21.60  83
1 1 1  27.21  29
1 2 1  30.36  100
2 0 1  37.51  57
0 4 1  37.63  59
0 0 2  42.92  21
2 4 0  44.02  37
1 2 2  48.54  28
2 4 2  63.17  22

```
data_Th2B10W
_cell_length_a 5.831
_cell_length_b 11.609
_cell_length_c 4.214
_cell_angle_alpha 90.00
_cell_angle_beta 90.00
_cell_angle_gamma 90.00
_symmetry_space_group_name_H-M 'P b a m'
_symmetry_Int_Tables_number 55
loop_
_symmetry_equiv_pos_as_xyz
'x,y,z'
'-x,-y,-z'
'-x,-y,z'
'x,y,-z'
'x+1/2,-y+1/2,-z'
'-x+1/2,y+1/2,z'
'-x+1/2,y+1/2,-z'
'x+1/2,-y+1/2,z'
loop_
_atom_site_label
_atom_site_fract_x
_atom_site_fract_y
_atom_site_fract_z
_atom_site_occupancy
Th1 0.227 0.132 0.000 1
B1 0.072 0.306 0.500 1
B2 0.117 0.958 0.500 1
B3 0.120 0.803 0.500 1
B4 0.233 0.379 0.201 1
W1 0.000 0.500 0.500 1
```


No. 4
Starting from a DFT-relaxed cell (GGA-PBE, Alexandria), the XRD peak list of ThZrB12 was simulated for Cu Ka.

Top 10 peaks for 2θ = 5–70°, sorted by position:
h k l  2θ/deg  Rel. int.
0 0 1  10.86  26
1 0 0  21.75  70
1 0 1  24.34  18
1 1 0  30.95  100
1 1 2  38.15  42
2 0 0  44.27  14
2 1 0  49.85  34
1 0 4  50.01  17
2 1 2  55.01  19
2 1 4  68.98  17

```
data_ThZrB12
_cell_length_a 4.092
_cell_length_b 4.092
_cell_length_c 8.149
_cell_angle_alpha 90.00
_cell_angle_beta 90.00
_cell_angle_gamma 90.00
_symmetry_space_group_name_H-M 'P 4/m m m'
_symmetry_Int_Tables_number 123
_symmetry_space_group_name_Hall '-P 4 2'
loop_
_atom_site_label
_atom_site_fract_x
_atom_site_fract_y
_atom_site_fract_z
_atom_site_occupancy
Th1 0.000 0.000 0.000 1
Zr1 0.000 0.000 0.500 1
B1 0.198 0.500 0.253 1
B2 0.500 0.500 0.100 1
B3 0.500 0.500 0.402 1
```


No. 5
Starting from a DFT-relaxed cell (GGA-PBE, Alexandria), the XRD peak list of TiB12 was simulated for Cu Ka.

Top 10 peaks for 2θ = 5–70°, sorted by position:
h k l  2θ/deg  Rel. int.
1 1 1  20.93  18
2 0 0  24.21  45
2 2 0  34.51  8
3 1 1  40.71  100
2 2 2  42.60  32
4 0 0  49.60  7
3 3 1  54.40  17
4 2 0  55.94  5
4 2 2  61.83  25
3 3 3  66.04  5

```
data_TiB12
_cell_length_a 7.351
_cell_length_b 7.351
_cell_length_c 7.351
_cell_angle_alpha 90.00
_cell_angle_beta 90.00
_cell_angle_gamma 90.00
_symmetry_space_group_name_H-M 'F m -3 m'
_symmetry_Int_Tables_number 225
_symmetry_space_group_name_Hall '-F 4 2 3'
loop_
_atom_site_label
_atom_site_fract_x
_atom_site_fract_y
_atom_site_fract_z
_atom_site_occupancy
Ti1 0.000 0.000 0.000 1
B1 0.000 0.170 0.330 1
```


No. 6
Starting from a DFT-relaxed cell (GGA-PBE, Alexandria), the XRD peak list of UTiB4 was simulated for Cu Ka.

Top 10 peaks for 2θ = 5–70°, sorted by position:
h k l  2θ/deg  Rel. int.
0 0 2  14.10  79
0 0 4  28.41  38
1 0 1  29.51  100
1 0 3  35.90  75
1 1 2  43.50  61
1 0 5  46.41  38
1 1 4  50.57  15
1 0 7  59.41  16
1 1 6  61.02  19
2 1 1  67.58  21

```
data_UTiB4
_cell_length_a 3.119
_cell_length_b 3.119
_cell_length_c 12.564
_cell_angle_alpha 90.00
_cell_angle_beta 90.00
_cell_angle_gamma 90.00
_symmetry_space_group_name_H-M 'I -4 m 2'
_symmetry_Int_Tables_number 119
_symmetry_space_group_name_Hall 'I -4 -2'
loop_
_atom_site_label
_atom_site_fract_x
_atom_site_fract_y
_atom_site_fract_z
_atom_site_occupancy
U1 0.000 0.000 0.000 1
Ti1 0.000 0.500 0.250 1
B1 0.000 0.000 0.383 1
B2 0.000 0.500 0.677 1
```


No. 7
Starting from a DFT-relaxed cell (GGA-PBE, Alexandria), the XRD peak list of Ti2B6W was simulated for Cu Ka.

Top 10 peaks for 2θ = 5–70°, sorted by position:
h k l  2θ/deg  Rel. int.
1 0 0  19.40  82
0 0 1  27.77  34
1 1 0  33.94  76
1 0 1  34.10  43
1 1 1  44.40  100
2 0 1  48.88  16
3 0 0  60.74  22
2 1 1  60.84  17
3 0 1  68.06  17
1 1 2  68.35  20

```
data_Ti2B6W
_cell_length_a 5.2821
_cell_length_b 5.2821
_cell_length_c 3.2127
_cell_angle_alpha 90.00
_cell_angle_beta 90.00
_cell_angle_gamma 120.00
_symmetry_space_group_name_H-M 'P 6/m m m'
_symmetry_Int_Tables_number 191
_symmetry_space_group_name_Hall '-P 6 2'
loop_
_atom_site_label
_atom_site_fract_x
_atom_site_fract_y
_atom_site_fract_z
_atom_site_occupancy
Ti1 0.3333 0.6667 0.0000 1
B1 0.0000 0.3351 0.5000 1
W1 0.0000 0.0000 0.0000 1
```


No. 8
Starting from a DFT-relaxed cell (GGA-PBE, Alexandria), the XRD peak list of ZrTi2B6 was simulated for Cu Ka.

Top 10 peaks for 2θ = 5–70°, sorted by position:
h k l  2θ/deg  Rel. int.
1 0 0  19.20  19
0 0 1  26.45  27
1 0 1  32.89  11
1 1 0  33.58  63
1 1 1  43.24  100
0 0 2  54.45  10
2 1 1  59.61  4
3 0 0  60.05  21
1 1 2  65.51  17
3 0 1  66.76  12

```
data_ZrTi2B6
_cell_length_a 5.3371
_cell_length_b 5.3371
_cell_length_c 3.3703
_cell_angle_alpha 90.00
_cell_angle_beta 90.00
_cell_angle_gamma 120.00
_symmetry_space_group_name_H-M 'P 6/m m m'
_symmetry_Int_Tables_number 191
_symmetry_space_group_name_Hall '-P 6 2'
loop_
_atom_site_label
_atom_site_fract_x
_atom_site_fract_y
_atom_site_fract_z
_atom_site_occupancy
Zr1 0.0000 0.0000 0.0000 1
Ti1 0.3333 0.6667 0.0000 1
B1 0.0000 0.3381 0.5000 1
```


No. 9
Starting from a DFT-relaxed cell (GGA-PBE, Alexandria), the XRD peak list of TlB4 was simulated for Cu Ka.

Top 10 peaks for 2θ = 5–70°, sorted by position:
h k l  2θ/deg  Rel. int.
1 0 0  19.62  100
1 1 0  27.89  86
1 1 1  34.33  23
2 0 0  39.85  22
2 1 0  44.80  49
2 1 1  49.34  37
2 2 0  57.63  15
3 0 0  61.49  24
3 1 0  65.21  16
3 1 1  68.83  11

```
data_TlB4
_cell_length_a 4.524
_cell_length_b 4.524
_cell_length_c 4.524
_cell_angle_alpha 90.00
_cell_angle_beta 90.00
_cell_angle_gamma 90.00
_symmetry_space_group_name_H-M 'P m -3 m'
_symmetry_Int_Tables_number 221
_symmetry_space_group_name_Hall '-P 4 2 3'
loop_
_atom_site_label
_atom_site_fract_x
_atom_site_fract_y
_atom_site_fract_z
_atom_site_occupancy
Tl1 0.000 0.000 0.000 1
B1 0.000 0.000 0.500 1
B2 0.500 0.500 0.500 1
```


No. 10
Starting from a DFT-relaxed cell (GGA-PBE, Alexandria), the XRD peak list of Y2TlB was simulated for Cu Ka.

Top 10 peaks for 2θ = 5–70°, sorted by position:
h k l  2θ/deg  Rel. int.
1 0 1  17.25  44
2 1 1  29.33  100
1 1 2  30.49  91
2 2 0  33.53  53
3 0 1  37.95  36
1 0 3  40.38  18
3 1 2  45.95  45
2 0 4  58.01  36
3 2 3  59.20  22
4 3 1  62.89  20

```
data_Y2TlB
_cell_length_a 7.559
_cell_length_b 7.559
_cell_length_c 7.014
_cell_angle_alpha 90.00
_cell_angle_beta 90.00
_cell_angle_gamma 90.00
_symmetry_space_group_name_H-M 'I -4 2 d'
_symmetry_Int_Tables_number 122
_symmetry_space_group_name_Hall 'I -4 2bw'
loop_
_atom_site_label
_atom_site_fract_x
_atom_site_fract_y
_atom_site_fract_z
_atom_site_occupancy
Y1 0.180 0.750 0.125 1
Tl1 0.000 0.000 0.500 1
B1 0.000 0.000 0.000 1
```


No. 11
Starting from a DFT-relaxed cell (GGA-PBE, Alexandria), the XRD peak list of TmB12 was simulated for Cu Ka.

Top 10 peaks for 2θ = 5–70°, sorted by position:
h k l  2θ/deg  Rel. int.
1 1 1  20.59  97
2 0 0  23.82  73
2 2 0  33.94  44
3 1 1  40.03  100
2 2 2  41.89  30
4 0 0  48.75  11
3 3 1  53.46  34
4 2 0  54.96  24
4 2 2  60.73  29
5 1 1  64.85  17

```
data_TmB12
_cell_length_a 7.471
_cell_length_b 7.471
_cell_length_c 7.471
_cell_angle_alpha 90.00
_cell_angle_beta 90.00
_cell_angle_gamma 90.00
_symmetry_space_group_name_H-M 'F m -3 m'
_symmetry_Int_Tables_number 225
_symmetry_space_group_name_Hall '-F 4 2 3'
loop_
_atom_site_label
_atom_site_fract_x
_atom_site_fract_y
_atom_site_fract_z
_atom_site_occupancy
Tm1 0.000 0.000 0.000 1
B1 0.000 0.169 0.331 1
```


No. 12
Starting from a DFT-relaxed cell (GGA-PBE, Alexandria), the XRD peak list of Tm3B11 was simulated for Cu Ka.

Top 10 peaks for 2θ = 5–70°, sorted by position:
h k l  2θ/deg  Rel. int.
0 0 2  12.28  26
0 1 1  17.02  39
0 0 4  24.70  68
1 1 0  31.82  77
0 2 0  32.04  38
1 1 4  40.69  100
0 2 4  40.87  50
1 3 0  56.97  19
1 1 8  61.06  23
1 3 4  63.03  18

```
data_Tm3B11
_cell_length_a 3.254
_cell_length_b 5.587
_cell_length_c 14.420
_cell_angle_alpha 90.00
_cell_angle_beta 90.00
_cell_angle_gamma 90.00
_symmetry_space_group_name_H-M 'I m m m'
_symmetry_Int_Tables_number 71
_symmetry_space_group_name_Hall '-I 2 2'
loop_
_atom_site_label
_atom_site_fract_x
_atom_site_fract_y
_atom_site_fract_z
_atom_site_occupancy
Tm1 0.000 0.000 0.000 1
Tm2 0.000 0.000 0.244 1
B1 0.000 0.163 0.500 1
B2 0.000 0.323 0.382 1
B3 0.000 0.340 0.122 1
B4 0.000 0.500 0.000 1
```